(1)
Theoretical XRD peak list of Ti3Nb3Mo2 for copper Kα, from the GGA-PBE geometry in Alexandria.
Peak positions follow from Bragg's law for the DFT cell and can differ from measured ones.

Crystal structure
a b c (Å): 4.8792 10.6825 5.3239
angles (deg): 90.00 91.31 90.00
Fractional coordinates of all 16 atoms:
Ti 0.1445 0.2500 0.1612
Ti 0.3058 0.6133 0.6176
Ti 0.3058 0.8867 0.6176
Ti 0.6942 0.1133 0.3824
Ti 0.6942 0.3867 0.3824
Ti 0.8555 0.7500 0.8388
Nb 0.2522 0.0054 0.1330
Nb 0.2522 0.4946 0.1330
Nb 0.3558 0.7500 0.1119
Nb 0.6442 0.2500 0.8881
Nb 0.7478 0.5054 0.8670
Nb 0.7478 0.9946 0.8670
Mo 0.1905 0.1316 0.6424
Mo 0.1905 0.3684 0.6424
Mo 0.8095 0.6316 0.3576
Mo 0.8095 0.8684 0.3576

Largest 10 diffraction maxima, by angle, 2θ from 10° to 90°:
2θ/deg  I_rel
18.6  26.0
36.9  60.9
37.7  100.0
37.8  44.3
38.1  77.6
38.9  97.8
42.0  71.3
42.3  81.7
62.9  27.8
83.6  27.8

(2)
Theoretical XRD peak list of KCuPbF6 for copper Kα, from the GGA-PBE geometry in Alexandria.
Peak positions follow from Bragg's law for the DFT cell and can differ from measured ones.

Crystal structure
a b c (Å): 7.4125 7.4125 7.4125
angles (deg): 118.45 115.72 95.14
Fractional coordinates of all 18 atoms:
K 0.3327 0.0827 0.2500
K 0.6673 0.9173 0.7500
Cu 0.0000 0.0000 0.5000
Cu 0.0000 0.5000 0.0000
Pb 0.0000 0.5000 0.5000
Pb 0.5000 0.5000 0.0000
F 0.0385 0.3323 0.1378
F 0.0385 0.9007 0.7061
F 0.0638 0.3138 0.7500
F 0.3055 0.0993 0.6378
F 0.3055 0.6677 0.2061
F 0.3825 0.6325 0.7500
F 0.6175 0.3675 0.2500
F 0.6945 0.3323 0.7939
F 0.6945 0.9007 0.3622
F 0.9362 0.6862 0.2500
F 0.9615 0.0993 0.2939
F 0.9615 0.6677 0.8622

Largest 10 diffraction maxima, by angle, 2θ from 10° to 90°:
2θ/deg  I_rel
14.3  22.7
14.7  100.0
17.7  23.3
27.0  71.7
28.8  51.4
29.3  20.9
29.6  47.2
37.3  41.9
43.5  25.8
49.4  37.5

(3)
Theoretical XRD peak list of AlPC for copper Kα, from the GGA-PBE geometry in Alexandria.
Peak positions follow from Bragg's law for the DFT cell and can differ from measured ones.

Crystal structure
a b c (Å): 3.9315 5.0402 5.7898
angles (deg): 91.48 90.08 112.71
Fractional coordinates of all 6 atoms:
Al 0.1813 0.3657 0.2078
Al 0.8187 0.6343 0.7922
P 0.1704 0.3341 0.7868
P 0.8296 0.6659 0.2132
C 0.0017 0.0050 0.3827
C 0.9983 0.9950 0.6173

Largest 10 diffraction maxima, by angle, 2θ from 10° to 90°:
2θ/deg  I_rel
19.1  30.7
24.2  19.8
24.6  100.0
30.9  45.0
36.9  23.1
37.0  33.7
46.2  24.8
48.2  10.4
48.4  9.8
49.5  26.9

(4)
Theoretical XRD peak list of CsKNpCl6 for copper Kα, from the GGA-PBE geometry in Alexandria.
Peak positions follow from Bragg's law for the DFT cell and can differ from measured ones.

Crystal structure
a b c (Å): 8.1822 8.1822 11.7994
angles (deg): 90.00 90.00 120.00
Fractional coordinates of all 18 atoms:
Cs 0.3333 0.6667 0.2500
Cs 0.6667 0.3333 0.7500
K 0.0000 0.0000 0.0000
K 0.0000 0.0000 0.5000
Np 0.3333 0.6667 0.7500
Np 0.6667 0.3333 0.2500
Cl 0.0798 0.3955 0.6227
Cl 0.0798 0.6844 0.8773
Cl 0.3156 0.3955 0.8773
Cl 0.3156 0.9202 0.6227
Cl 0.3955 0.0798 0.1227
Cl 0.3955 0.3156 0.3773
Cl 0.6045 0.6844 0.6227
Cl 0.6045 0.9202 0.8773
Cl 0.6844 0.0798 0.3773
Cl 0.6844 0.6045 0.1227
Cl 0.9202 0.3156 0.1227
Cl 0.9202 0.6045 0.3773

Largest 10 diffraction maxima, by angle, 2θ from 10° to 90°:
2θ/deg  I_rel
12.5  57.1
14.6  50.9
15.0  46.8
19.6  80.0
21.7  62.7
26.5  100.0
29.4  29.6
36.9  33.9
37.6  72.3
38.1  37.5

(5)
Theoretical XRD peak list of Th4O for copper Kα, from the GGA-PBE geometry in Alexandria.
Peak positions follow from Bragg's law for the DFT cell and can differ from measured ones.

Crystal structure
a b c (Å): 5.0813 5.0813 5.0813
angles (deg): 90.00 90.00 90.00
Fractional coordinates of all 5 atoms:
Th 0.0000 0.0000 0.0000
Th 0.0000 0.5000 0.5000
Th 0.5000 0.0000 0.5000
Th 0.5000 0.5000 0.0000
O 0.5000 0.5000 0.5000

Largest 8 diffraction maxima, by angle, 2θ from 10° to 90°:
2θ/deg  I_rel
30.5  100.0
35.3  55.2
50.8  40.1
60.4  45.4
63.4  13.9
74.7  6.5
82.8  19.3
85.5  18.9

(6)
Theoretical XRD peak list of Ba4Y2Cu6O13 for copper Kα, from the GGA-PBE geometry in Alexandria.
Peak positions follow from Bragg's law for the DFT cell and can differ from measured ones.

Crystal structure
a b c (Å): 3.9126 7.7151 11.9670
angles (deg): 90.00 90.00 90.00
Fractional coordinates of all 25 atoms:
Ba 0.0000 0.2439 0.1882
Ba 0.0000 0.2439 0.8118
Ba 0.0000 0.7561 0.1882
Ba 0.0000 0.7561 0.8118
Y 0.0000 0.2509 0.5000
Y 0.0000 0.7491 0.5000
Cu 0.5000 0.0000 0.0000
Cu 0.5000 0.0000 0.3604
Cu 0.5000 0.0000 0.6396
Cu 0.5000 0.5000 0.0000
Cu 0.5000 0.5000 0.3605
Cu 0.5000 0.5000 0.6395
O 0.0000 0.0000 0.0000
O 0.0000 0.0000 0.3786
O 0.0000 0.0000 0.6214
O 0.0000 0.5000 0.3791
O 0.0000 0.5000 0.6209
O 0.5000 0.0000 0.1578
O 0.5000 0.0000 0.8422
O 0.5000 0.2502 0.3803
O 0.5000 0.2502 0.6197
O 0.5000 0.5000 0.1500
O 0.5000 0.5000 0.8500
O 0.5000 0.7498 0.3803
O 0.5000 0.7498 0.6197

Largest 10 diffraction maxima, by angle, 2θ from 10° to 90°:
2θ/deg  I_rel
32.0  89.9
32.3  94.8
32.6  100.0
39.8  20.8
46.4  29.5
47.1  28.0
57.1  27.7
57.7  35.2
58.1  31.9
68.3  16.9

(7)
Theoretical XRD peak list of Tl7Pd3 for copper Kα, from the GGA-PBE geometry in Alexandria.
Peak positions follow from Bragg's law for the DFT cell and can differ from measured ones.

Crystal structure
a b c (Å): 8.6043 8.6043 8.6043
angles (deg): 109.47 109.47 109.47
Fractional coordinates of all 20 atoms:
Tl 0.0000 0.0000 0.3240
Tl 0.0000 0.0000 0.6760
Tl 0.0000 0.3240 0.0000
Tl 0.0000 0.6760 0.0000
Tl 0.2500 0.5000 0.7500
Tl 0.2500 0.7500 0.5000
Tl 0.3240 0.0000 0.0000
Tl 0.3240 0.3240 0.3240
Tl 0.5000 0.2500 0.7500
Tl 0.5000 0.7500 0.2500
Tl 0.6760 0.0000 0.0000
Tl 0.6760 0.6760 0.6760
Tl 0.7500 0.2500 0.5000
Tl 0.7500 0.5000 0.2500
Pd 0.0000 0.3506 0.3506
Pd 0.0000 0.6494 0.6494
Pd 0.3506 0.0000 0.3506
Pd 0.3506 0.3506 0.0000
Pd 0.6494 0.0000 0.6494
Pd 0.6494 0.6494 0.0000

Largest 10 diffraction maxima, by angle, 2θ from 10° to 90°:
2θ/deg  I_rel
28.4  68.2
31.2  48.4
33.8  61.6
38.4  100.0
40.6  19.5
52.1  19.9
53.8  21.3
55.5  21.2
57.2  21.0
69.5  41.5